Ac4RuPb: theoretical X-ray diffraction stick pattern (Cu Kα (λ = 1.5418 Å)), based on a structure optimized by DFT (GGA-PBE).

Top 10 peaks for 10 to 90 degrees two-theta, by angle:
| d_spacing | 2θ (°) | intensity | h k l |
| --- | --- | --- | --- |
| 3.559 | 25.02 | 33 | 1 0 2 |
| 3.268 | 27.29 | 52 | 1 2 0 |
| 3.236 | 27.56 | 58 | 2 0 -1 |
| 3.213 | 27.77 | 40 | 1 1 2 |
| 3.100 | 28.80 | 71 | 1 2 -1 |
| 2.969 | 30.09 | 22 | 2 1 -1 |
| 2.844 | 31.46 | 100 | 0 2 2 |
| 2.759 | 32.45 | 55 | 1 0 -3 |
| 2.040 | 44.40 | 21 | 1 0 4 |
| 1.867 | 48.78 | 24 | 0 4 0 |

Crystal structure
Lattice parameters (Å, degrees): 6.779 7.467 8.794 90.00 94.30 90.00
Space group P2_1/m (No. 11)
Unique sites:
Ac  0.092  0.250  0.082
Ac  0.155  0.750  0.373
Ac  0.401  0.504  0.786
Ru  0.316  0.750  0.064
Pb  0.296  0.250  0.451